# 1
NaH4IO2: simulated X-ray diffraction stick pattern (Cu Kα (λ = 1.5418 Å)), based on a DFT-relaxed cell (PBE, the Materials Project).

Most intense lines, 2θ = 15–90°, sorted by position:
5.166 Å, I = 63
4.921 Å, I = 82
4.317 Å, I = 97
3.583 Å, I = 100
3.361 Å, I = 61
3.033 Å, I = 71

Cell and atoms:
```
data_NaH4IO2
_chemical_formula_sum 'Na2 H8 I2 O4'
_space_group_name_H-M_alt 'P 1'
_space_group_IT_number 1
_space_group_name_Hall 'P 1'
_cell_length_a 6.055
_cell_length_b 7.168
_cell_length_c 7.285
_cell_angle_alpha 62.40
_cell_angle_beta 81.82
_cell_angle_gamma 65.04
loop_
_atom_site_label
_atom_site_type_symbol
_atom_site_fract_x
_atom_site_fract_y
_atom_site_fract_z
Na1 Na 0.174 0.145 0.019
Na2 Na 0.826 0.855 0.981
H1 H 0.096 0.122 0.655
H2 H 0.288 0.875 0.786
H3 H 0.456 0.252 0.649
H4 H 0.466 0.658 0.224
H5 H 0.534 0.342 0.776
H6 H 0.544 0.748 0.351
H7 H 0.712 0.125 0.214
H8 H 0.904 0.878 0.345
I1 I 0.266 0.374 0.280
I2 I 0.734 0.626 0.720
O1 O 0.126 0.988 0.794
O2 O 0.494 0.216 0.792
O3 O 0.506 0.784 0.208
O4 O 0.874 0.012 0.206
```

# 2
P4H4PtIO10: simulated X-ray diffraction stick pattern (Cu Kα (λ = 1.5418 Å)), based on a DFT-relaxed cell (PBE, the Materials Project).

Most intense lines, 2θ = 15–90°, sorted by position:
4.866 Å, I = 44
3.181 Å, I = 29
3.076 Å, I = 100
2.512 Å, I = 28
2.359 Å, I = 25
2.029 Å, I = 25

Cell and atoms:
```
data_P4H4PtIO10
_chemical_formula_sum 'P8 H8 Pt2 I2 O20'
_space_group_name_H-M_alt 'P 1'
_space_group_IT_number 1
_space_group_name_Hall 'P 1'
_cell_length_a 10.623
_cell_length_b 10.623
_cell_length_c 10.623
_cell_angle_alpha 125.48
_cell_angle_beta 125.48
_cell_angle_gamma 80.75
loop_
_atom_site_label
_atom_site_type_symbol
_atom_site_fract_x
_atom_site_fract_y
_atom_site_fract_z
P1 P 0.077 0.840 0.734
P2 P 0.106 0.343 0.266
P3 P 0.160 0.894 0.237
P4 P 0.343 0.077 0.237
P5 P 0.657 0.923 0.763
P6 P 0.840 0.106 0.763
P7 P 0.894 0.657 0.734
P8 P 0.923 0.160 0.266
H1 H 0.084 0.097 0.458
H2 H 0.097 0.640 0.013
H3 H 0.360 0.374 0.458
H4 H 0.374 0.916 0.013
H5 H 0.626 0.084 0.987
H6 H 0.640 0.626 0.542
H7 H 0.903 0.360 0.987
H8 H 0.916 0.903 0.542
Pt1 Pt 0.088 0.088 0.000
Pt2 Pt 0.912 0.912 0.000
I1 I 0.252 0.252 0.000
I2 I 0.748 0.748 0.000
O1 O 0.003 0.569 0.804
O2 O 0.009 0.847 0.564
O3 O 0.062 0.301 0.363
O4 O 0.153 0.716 0.162
O5 O 0.199 0.003 0.435
O6 O 0.236 0.801 0.804
O7 O 0.284 0.446 0.436
O8 O 0.301 0.938 0.238
O9 O 0.431 0.236 0.435
O10 O 0.446 0.009 0.162
O11 O 0.554 0.991 0.838
O12 O 0.569 0.764 0.565
O13 O 0.699 0.062 0.762
O14 O 0.716 0.554 0.564
O15 O 0.764 0.199 0.196
O16 O 0.801 0.997 0.565
O17 O 0.847 0.284 0.838
O18 O 0.938 0.699 0.637
O19 O 0.991 0.153 0.436
O20 O 0.997 0.431 0.196
```

# 3
H2PtPbI6O19: simulated X-ray diffraction stick pattern (Cu Kα (λ = 1.5418 Å)), based on a DFT-relaxed cell (PBE, the Materials Project).

Most intense lines, 2θ = 15–90°, sorted by position:
4.990 Å, I = 69
3.589 Å, I = 63
3.328 Å, I = 100
3.198 Å, I = 70
3.167 Å, I = 39
3.155 Å, I = 39

Cell and atoms:
```
data_H2PtPbI6O19
_chemical_formula_sum 'H2 Pt1 Pb1 I6 O19'
_space_group_name_H-M_alt 'P 1'
_space_group_IT_number 1
_space_group_name_Hall 'P 1'
_cell_length_a 7.662
_cell_length_b 7.680
_cell_length_c 7.700
_cell_angle_alpha 96.93
_cell_angle_beta 97.32
_cell_angle_gamma 97.57
loop_
_atom_site_label
_atom_site_type_symbol
_atom_site_fract_x
_atom_site_fract_y
_atom_site_fract_z
H1 H 0.000 0.000 0.000
H2 H 0.007 0.859 0.130
Pt1 Pt 0.652 0.638 0.779
Pb1 Pb 0.202 0.192 0.334
I1 I 0.000 0.782 0.559
I2 I 0.246 0.457 0.906
I3 I 0.432 0.983 0.924
I4 I 0.472 0.766 0.373
I5 I 0.779 0.233 0.599
I6 I 0.795 0.414 0.124
O1 O 0.035 0.428 0.184
O2 O 0.060 0.021 0.568
O3 O 0.120 0.421 0.684
O4 O 0.226 0.825 0.871
O5 O 0.231 0.231 0.959
O6 O 0.245 0.818 0.359
O7 O 0.434 0.544 0.247
O8 O 0.444 0.044 0.161
O9 O 0.459 0.706 0.606
O10 O 0.480 0.444 0.847
O11 O 0.555 0.107 0.560
O12 O 0.588 0.813 0.970
O13 O 0.721 0.468 0.587
O14 O 0.744 0.216 0.959
O15 O 0.832 0.831 0.719
O16 O 0.835 0.224 0.375
O17 O 0.839 0.728 0.356
O18 O 0.844 0.580 0.960
O19 O 0.997 0.984 0.124
```

# 4
ScH11I2O6: simulated X-ray diffraction stick pattern (Cu Kα (λ = 1.5418 Å)), based on a DFT-relaxed cell (PBE, the Materials Project).

Most intense lines, 2θ = 15–90°, sorted by position:
5.264 Å, I = 52
4.339 Å, I = 71
4.227 Å, I = 100
4.112 Å, I = 62
4.057 Å, I = 87
2.937 Å, I = 50

Cell and atoms:
```
data_ScH11I2O6
_chemical_formula_sum 'Sc2 H22 I4 O12'
_space_group_name_H-M_alt 'P 1'
_space_group_IT_number 1
_space_group_name_Hall 'P 1'
_cell_length_a 8.318
_cell_length_b 8.574
_cell_length_c 9.073
_cell_angle_alpha 74.62
_cell_angle_beta 66.64
_cell_angle_gamma 78.76
loop_
_atom_site_label
_atom_site_type_symbol
_atom_site_fract_x
_atom_site_fract_y
_atom_site_fract_z
Sc1 Sc 0.046 0.155 0.332
Sc2 Sc 0.954 0.845 0.668
H1 H 0.102 0.826 0.341
H2 H 0.120 0.840 0.894
H3 H 0.126 0.018 0.782
H4 H 0.161 0.445 0.079
H5 H 0.169 0.310 0.986
H6 H 0.212 0.306 0.475
H7 H 0.215 0.556 0.669
H8 H 0.221 0.428 0.304
H9 H 0.315 0.700 0.535
H10 H 0.344 0.038 0.093
H11 H 0.401 0.990 0.244
H12 H 0.599 0.010 0.756
H13 H 0.656 0.962 0.907
H14 H 0.685 0.300 0.465
H15 H 0.779 0.572 0.696
H16 H 0.785 0.444 0.331
H17 H 0.788 0.694 0.525
H18 H 0.831 0.690 0.014
H19 H 0.839 0.555 0.921
H20 H 0.874 0.982 0.218
H21 H 0.880 0.160 0.106
H22 H 0.898 0.174 0.659
I1 I 0.253 0.688 0.099
I2 I 0.352 0.237 0.695
I3 I 0.648 0.763 0.305
I4 I 0.747 0.312 0.901
O1 O 0.049 0.903 0.416
O2 O 0.069 0.917 0.817
O3 O 0.111 0.343 0.093
O4 O 0.173 0.327 0.381
O5 O 0.200 0.672 0.619
O6 O 0.331 0.075 0.191
O7 O 0.669 0.925 0.809
O8 O 0.800 0.328 0.381
O9 O 0.827 0.673 0.619
O10 O 0.889 0.657 0.907
O11 O 0.931 0.083 0.183
O12 O 0.951 0.097 0.584
```

# 5
SmH4I3O11: simulated X-ray diffraction stick pattern (Cu Kα (λ = 1.5418 Å)), based on a DFT-relaxed cell (PBE, the Materials Project).

Most intense lines, 2θ = 15–90°, sorted by position:
3.809 Å, I = 100
3.537 Å, I = 45
3.462 Å, I = 49
3.263 Å, I = 39
3.234 Å, I = 40
2.815 Å, I = 39

Cell and atoms:
```
data_SmH4I3O11
_chemical_formula_sum 'Sm2 H8 I6 O22'
_space_group_name_H-M_alt 'P 1'
_space_group_IT_number 1
_space_group_name_Hall 'P 1'
_cell_length_a 7.252
_cell_length_b 7.573
_cell_length_c 10.782
_cell_angle_alpha 94.82
_cell_angle_beta 105.03
_cell_angle_gamma 109.13
loop_
_atom_site_label
_atom_site_type_symbol
_atom_site_fract_x
_atom_site_fract_y
_atom_site_fract_z
Sm1 Sm 0.109 0.416 0.287
Sm2 Sm 0.891 0.584 0.713
H1 H 0.129 0.259 0.895
H2 H 0.196 0.082 0.891
H3 H 0.252 0.106 0.359
H4 H 0.283 0.089 0.217
H5 H 0.717 0.911 0.783
H6 H 0.748 0.894 0.641
H7 H 0.804 0.918 0.109
H8 H 0.871 0.741 0.105
I1 I 0.275 0.734 0.048
I2 I 0.284 0.365 0.667
I3 I 0.303 0.852 0.568
I4 I 0.697 0.148 0.432
I5 I 0.716 0.635 0.333
I6 I 0.725 0.266 0.952
O1 O 0.081 0.628 0.129
O2 O 0.097 0.849 0.636
O3 O 0.107 0.800 0.917
O4 O 0.143 0.723 0.402
O5 O 0.229 0.153 0.276
O6 O 0.231 0.558 0.750
O7 O 0.245 0.220 0.891
O8 O 0.291 0.464 0.518
O9 O 0.364 0.094 0.529
O10 O 0.418 0.966 0.152
O11 O 0.439 0.556 0.248
O12 O 0.561 0.444 0.752
O13 O 0.582 0.034 0.848
O14 O 0.636 0.906 0.471
O15 O 0.709 0.536 0.482
O16 O 0.755 0.780 0.109
O17 O 0.769 0.442 0.250
O18 O 0.771 0.847 0.724
O19 O 0.857 0.277 0.598
O20 O 0.893 0.200 0.083
O21 O 0.903 0.151 0.364
O22 O 0.919 0.372 0.871
```